Calculated powder diffractogram
Compound: YbNd2S4
Radiation: Cu Kα, 1.54184 Å
Structure: a PBE-relaxed structure
Peak positions follow from Bragg's law for the DFT cell and can differ from measured ones.

Structural model:
```
data_YbNd2S4
_cell_length_a 4.310
_cell_length_b 15.046
_cell_length_c 12.157
_cell_angle_alpha 90.00
_cell_angle_beta 90.00
_cell_angle_gamma 90.00
_symmetry_space_group_name_H-M 'C 2 2 21'
_symmetry_Int_Tables_number 20
_symmetry_space_group_name_Hall 'C 2c 2'
loop_
_atom_site_label
_atom_site_fract_x
_atom_site_fract_y
_atom_site_fract_z
Yb1 0.000 0.072 0.250
Nd1 0.249 0.170 0.608
S1 0.242 0.302 0.882
S2 0.244 0.440 0.368
```

Peak list (10 most intense, 2θ = 10–90°, by angle)
(hkl)	2theta	Rel. int.
0 2 2	18.8	26.6
0 4 1	24.8	34.0
0 2 3	25.0	74.4
1 1 2	26.0	53.4
1 3 1	28.3	100.0
1 3 3	35.3	31.0
1 5 2	39.4	34.9
2 2 1	44.4	27.5
1 3 5	46.6	32.5
2 0 4	52.0	25.8